[1]
Diffraction record for Er5TmSc2. The X-ray diffraction stick pattern is theoretical, not measured: it uses a GGA-PBE-relaxed structure and Cu Kα (weighted mean of Kα1 and Kα2).

Largest 6 diffraction maxima, in order of falling intensity, 2θ = 15–90°:
2θ 33.72, rel. 100; 2θ 29.35, rel. 27; 2θ 32.83, rel. 23; 2θ 62.91, rel. 22; 2θ 52.04, rel. 21; 2θ 59.18, rel. 20

Atomic structure:
```
data_Er5TmSc2
_space_group_name_H-M_alt 'P 1'
_space_group_IT_number 1
_space_group_name_Hall 'P 1'
_cell_length_a 8.172
_cell_length_b 7.026
_cell_length_c 6.492
_cell_angle_alpha 74.27
_cell_angle_beta 55.85
_cell_angle_gamma 49.88
loop_
_atom_site_label
_atom_site_type_symbol
_atom_site_fract_x
_atom_site_fract_y
_atom_site_fract_z
Er1 Er 0.000 0.000 0.000
Er2 Er 0.003 0.503 0.997
Er3 Er 0.084 0.084 0.416
Er4 Er 0.503 0.003 0.497
Er5 Er 0.584 0.584 0.916
Tm1 Tm 0.500 0.500 0.500
Sc1 Sc 0.086 0.586 0.414
Sc2 Sc 0.586 0.086 0.914
```

[2]
Diffraction record for Er5Tm8Sc. The X-ray diffraction stick pattern is theoretical, not measured: it uses a GGA-PBE-relaxed structure and Cu Kα (weighted mean of Kα1 and Kα2).

Largest 6 diffraction maxima, in order of falling intensity, 2θ = 15–90°:
2θ 33.74, rel. 100; 2θ 32.13, rel. 83; 2θ 31.41, rel. 74; 2θ 32.45, rel. 61; 2θ 30.92, rel. 57; 2θ 31.83, rel. 47

Atomic structure:
```
data_Er5Tm8Sc
_space_group_name_H-M_alt 'P 1'
_space_group_IT_number 1
_space_group_name_Hall 'P 1'
_cell_length_a 8.547
_cell_length_b 8.547
_cell_length_c 8.222
_cell_angle_alpha 116.63
_cell_angle_beta 116.63
_cell_angle_gamma 56.91
loop_
_atom_site_label
_atom_site_type_symbol
_atom_site_fract_x
_atom_site_fract_y
_atom_site_fract_z
Er1 Er 0.000 0.000 0.000
Er2 Er 0.225 0.558 0.026
Er3 Er 0.442 0.775 0.974
Er4 Er 0.600 0.301 0.724
Er5 Er 0.699 0.400 0.276
Tm1 Tm 0.058 0.566 0.569
Tm2 Tm 0.075 0.183 0.677
Tm3 Tm 0.377 0.276 0.286
Tm4 Tm 0.434 0.942 0.431
Tm5 Tm 0.543 0.080 0.929
Tm6 Tm 0.724 0.623 0.714
Tm7 Tm 0.817 0.925 0.323
Tm8 Tm 0.920 0.457 0.071
Sc1 Sc 0.285 0.715 0.500
```